MnH10SO9: simulated powder XRD pattern (Cu Kα), based on a PBE+U-relaxed structure.
Kinematic intensities with the Lorentz-polarization factor, no thermal factor.

Peak list (10 most intense, 10 to 80 degrees two-theta, low angle first)
Position (°2θ)	I_rel
15.29	34
15.80	35
17.85	100
21.97	37
23.43	57
27.07	41
28.77	26
30.29	42
32.40	62
36.17	26

Crystal structure
```
MnH10SO9
1.0
6.1905 0.0000 0.0000
2.1301 5.9238 0.0000
1.5536 2.3324 10.5941
Mn H S O
2 20 2 18
direct
0.0000 0.0000 0.0000
0.0000 0.5000 0.5000
0.0954 0.3250 0.1047
0.1214 0.1556 0.7096
0.1772 0.6299 0.8708
0.2384 0.7977 0.5075
0.2735 0.9248 0.3000
0.2748 0.6129 0.6398
0.2958 0.1189 0.3607
0.3604 0.1419 0.6315
0.3714 0.1728 0.8686
0.4510 0.8952 0.8866
0.5490 0.1048 0.1134
0.6286 0.8272 0.1314
0.6396 0.8581 0.3685
0.7042 0.8811 0.6393
0.7252 0.3871 0.3602
0.7265 0.0752 0.7000
0.7616 0.2023 0.4925
0.8228 0.3701 0.1292
0.8786 0.8444 0.2904
0.9046 0.6750 0.8953
0.3466 0.5223 0.2128
0.6534 0.4777 0.7872
0.0325 0.7302 0.9048
0.1711 0.6899 0.5704
0.1812 0.7616 0.1765
0.1918 0.1824 0.6236
0.2807 0.4161 0.3448
0.3207 0.0347 0.8980
0.3437 0.3765 0.1256
0.3441 0.9493 0.3679
0.4169 0.4597 0.7912
0.5831 0.5403 0.2088
0.6559 0.0507 0.6321
0.6563 0.6235 0.8744
0.6793 0.9653 0.1020
0.7193 0.5839 0.6552
0.8082 0.8176 0.3764
0.8188 0.2384 0.8235
0.8289 0.3101 0.4296
0.9675 0.2698 0.0952
```